This entry pairs a crystal structure of TbUTe6 with its theoretical powder X-ray diffraction pattern. Radiation: λ = 1.5418 Å (Cu Kα). Structure: a crystal structure in the Materials Project, relaxed with GGA-PBE.
Intensities are scaled so that the largest is 100.

Unit cell a=4.3888 b=12.9067 c=12.9067 alpha=19.57 beta=90.00 gamma=90.00
Fractional coordinates of all 8 atoms:
Tb1 0.0000 0.0000 0.0000
U1 0.5000 0.3337 0.3337
Te1 0.0000 0.2426 0.2426
Te2 0.0000 0.5957 0.5957
Te3 0.0000 0.8710 0.8710
Te4 0.5000 0.0962 0.0962
Te5 0.5000 0.4605 0.4605
Te6 0.5000 0.7427 0.7427

Largest 8 diffraction maxima, low angle first, 10° ≤ 2θ ≤ 80°:
2θ/deg	I/Imax
28.06	44
28.99	33
30.68	100
33.84	79
38.14	29
41.14	67
50.54	34
59.57	29

=====

This entry pairs a crystal structure of TbUTe3 with its theoretical powder X-ray diffraction pattern. Radiation: λ = 1.5418 Å (Cu Kα). Structure: a crystal structure in the Materials Project, relaxed with GGA-PBE.
Intensities are scaled so that the largest is 100.

Unit cell a=12.1113 b=4.2756 c=11.9148 alpha=90.00 beta=90.00 gamma=90.00
Fractional coordinates of all 20 atoms:
Tb1 0.0145 0.2500 0.1876
Tb2 0.4855 0.7500 0.6876
Tb3 0.5145 0.2500 0.3124
Tb4 0.9855 0.7500 0.8124
U1 0.1948 0.2500 0.5013
U2 0.3052 0.7500 0.0013
U3 0.6948 0.2500 0.9987
U4 0.8052 0.7500 0.4987
Te1 0.0437 0.7500 0.3751
Te2 0.1186 0.2500 0.9477
Te3 0.2266 0.7500 0.7016
Te4 0.2734 0.2500 0.2016
Te5 0.3814 0.7500 0.4477
Te6 0.4563 0.2500 0.8751
Te7 0.5437 0.7500 0.1249
Te8 0.6186 0.2500 0.5523
Te9 0.7266 0.7500 0.7984
Te10 0.7734 0.2500 0.2984
Te11 0.8814 0.7500 0.0523
Te12 0.9563 0.2500 0.6249

Largest 8 diffraction maxima, low angle first, 10° ≤ 2θ ≤ 80°:
2θ/deg	I/Imax
29.65	82
30.73	66
31.39	72
31.62	100
34.05	63
39.48	56
42.28	71
44.13	51